The following is a calculated XRD peak list of Zr5Al2In2. It was derived from a GGA-PBE-relaxed structure, using λ = 1.5418 Å (Cu Kα).
Neutral-atom scattering factors, no anomalous dispersion.

Top 10 peaks for 2θ = 15–90°, by intensity:
2θ 34.6, intensity 100; 2θ 34.2, intensity 48; 2θ 35.3, intensity 33; 2θ 36.7, intensity 27; 2θ 32.8, intensity 23; 2θ 38.8, intensity 20; 2θ 39.0, intensity 19; 2θ 26.8, intensity 17; 2θ 61.9, intensity 16; 2θ 27.6, intensity 14

Structure:
Cell lengths 8.162, 8.162, 7.401 Å; angles 90.00, 90.00, 54.22 degrees
Positions (direct):
Zr  0.000  0.000  0.000
Zr  0.057  0.689  0.682
Zr  0.189  0.557  0.182
Zr  0.311  0.943  0.682
Zr  0.443  0.811  0.182
Zr  0.500  0.500  0.500
Zr  0.557  0.189  0.818
Zr  0.689  0.057  0.318
Zr  0.811  0.443  0.818
Zr  0.943  0.311  0.318
Al  0.120  0.880  0.378
Al  0.380  0.620  0.878
Al  0.620  0.380  0.122
Al  0.880  0.120  0.622
In  0.219  0.219  0.000
In  0.281  0.281  0.500
In  0.719  0.719  0.500
In  0.781  0.781  0.000